[1]
AgTeP2: simulated X-ray powder pattern (λ = 1.5418 Å (Cu Kα)), based on DFT lattice parameters and positions (GGA-PBE).

Crystal structure
```
4
Lattice="4.028 -1.591 0.000 4.028 1.591 0.000 -1.121 0.000 6.952" Properties=species:S:1:pos:R:3 pbc="T T T"
Ag 0.000 0.000 0.000
Te 5.760 0.000 1.936
P 0.929 0.000 5.382
P 4.150 0.000 4.142
```

The 12 most intense peaks (10 to 90 degrees two-theta), in order of rising 2θ:
- 6.952 Å, 12.73°, I 60
- 3.716 Å, 23.95°, I 20
- 3.237 Å, 27.56°, I 41
- 2.954 Å, 30.26°, I 36
- 2.852 Å, 31.37°, I 66
- 2.662 Å, 33.66°, I 100
- 2.432 Å, 36.96°, I 29
- 2.319 Å, 38.84°, I 38
- 2.022 Å, 44.82°, I 41
- 1.988 Å, 45.63°, I 15
- 1.878 Å, 48.48°, I 36
- 1.670 Å, 54.97°, I 14

***

[2]
PaAg3: simulated X-ray powder pattern (λ = 1.5418 Å (Cu Kα)), based on DFT lattice parameters and positions (GGA-PBE).

Crystal structure
```
4
Lattice="0.000 3.484 3.484 3.484 0.000 3.484 3.484 3.484 0.000" Properties=species:S:1:pos:R:3 pbc="T T T"
Pa 0.000 0.000 0.000
Ag 1.742 1.742 1.742
Ag 3.484 3.484 3.484
Ag 5.225 5.225 5.225
```

The 12 most intense peaks (10 to 90 degrees two-theta), in order of rising 2θ:
- 4.022 Å, 22.10°, I 9
- 3.484 Å, 25.57°, I 5
- 2.463 Å, 36.48°, I 100
- 2.101 Å, 43.06°, I 5
- 1.742 Å, 52.54°, I 17
- 1.598 Å, 57.67°, I 2
- 1.558 Å, 59.32°, I 2
- 1.422 Å, 65.65°, I 35
- 1.341 Å, 70.19°, I 2
- 1.232 Å, 77.50°, I 11
- 1.178 Å, 81.78°, I 2
- 1.102 Å, 88.83°, I 16

***

[3]
PaAg3: simulated X-ray powder pattern (λ = 1.5418 Å (Cu Kα)), based on DFT lattice parameters and positions (GGA-PBE).

Crystal structure
```
4
Lattice="2.928 0.000 0.000 0.000 4.939 0.000 0.000 0.000 5.841" Properties=species:S:1:pos:R:3 pbc="T T T"
Pa 0.000 0.000 0.000
Ag 0.000 2.470 3.872
Ag 1.464 0.000 2.944
Ag 1.464 2.470 1.339
```

The 12 most intense peaks (10 to 90 degrees two-theta), in order of rising 2θ:
- 3.771 Å, 23.59°, I 21
- 2.922 Å, 30.60°, I 14
- 2.617 Å, 34.26°, I 37
- 2.514 Å, 35.71°, I 82
- 2.470 Å, 36.38°, I 45
- 2.313 Å, 38.94°, I 100
- 1.796 Å, 50.83°, I 24
- 1.621 Å, 56.79°, I 19
- 1.434 Å, 65.03°, I 14
- 1.394 Å, 67.17°, I 20
- 1.355 Å, 69.34°, I 21
- 1.265 Å, 75.09°, I 17

***

[4]
PaAg2Pd6: simulated X-ray powder pattern (λ = 1.5418 Å (Cu Kα)), based on DFT lattice parameters and positions (GGA-PBE).

Crystal structure
```
9
Lattice="6.003 0.000 0.000 0.000 4.204 0.000 -0.628 0.000 6.526" Properties=species:S:1:pos:R:3 pbc="T T T"
Pa 0.000 0.000 0.000
Ag 0.461 2.102 4.409
Ag 2.875 2.102 3.107
Pd 1.059 0.000 2.506
Pd 1.785 2.102 0.561
Pd 3.544 0.000 1.102
Pd 3.615 2.102 5.743
Pd 4.592 0.000 3.940
Pd 5.289 2.102 1.844
```

The 12 most intense peaks (10 to 90 degrees two-theta), in order of rising 2θ:
- 5.976 Å, 14.82°, I 16
- 3.438 Å, 25.91°, I 15
- 2.342 Å, 38.43°, I 100
- 2.304 Å, 39.09°, I 98
- 2.110 Å, 42.87°, I 39
- 2.102 Å, 43.03°, I 38
- 1.856 Å, 49.08°, I 24
- 1.489 Å, 62.36°, I 25
- 1.391 Å, 67.29°, I 18
- 1.255 Å, 75.80°, I 13
- 1.249 Å, 76.22°, I 14
- 1.246 Å, 76.41°, I 12

***

[5]
PaAg3Pd12: simulated X-ray powder pattern (λ = 1.5418 Å (Cu Kα)), based on DFT lattice parameters and positions (GGA-PBE).

Crystal structure
```
16
Lattice="4.075 0.000 0.000 0.000 4.075 0.000 0.000 0.000 15.862" Properties=species:S:1:pos:R:3 pbc="T T T"
Pa 0.000 0.000 0.000
Ag 0.000 0.000 4.045
Ag 0.000 0.000 7.931
Ag 0.000 0.000 11.817
Pd 0.000 2.037 2.000
Pd 0.000 2.037 5.993
Pd 0.000 2.037 9.869
Pd 0.000 2.037 13.862
Pd 2.037 0.000 2.000
Pd 2.037 0.000 5.993
Pd 2.037 0.000 9.869
Pd 2.037 0.000 13.862
Pd 2.037 2.037 0.000
Pd 2.037 2.037 4.024
Pd 2.037 2.037 7.931
Pd 2.037 2.037 11.838
```

The 12 most intense peaks (10 to 90 degrees two-theta), in order of rising 2θ:
- 7.931 Å, 11.16°, I 2
- 3.947 Å, 22.53°, I 1
- 3.624 Å, 24.56°, I 1
- 2.839 Å, 31.51°, I 1
- 2.331 Å, 38.63°, I 100
- 2.037 Å, 44.47°, I 33
- 1.983 Å, 45.76°, I 15
- 1.441 Å, 64.70°, I 11
- 1.421 Å, 65.71°, I 20
- 1.225 Å, 77.96°, I 25
- 1.201 Å, 79.83°, I 11
- 1.165 Å, 82.82°, I 11

***

[6]
PmPaReAg: simulated X-ray powder pattern (λ = 1.5418 Å (Cu Kα)), based on DFT lattice parameters and positions (GGA-PBE).

Crystal structure
```
4
Lattice="0.000 3.562 3.562 3.562 0.000 3.562 3.562 3.562 0.000" Properties=species:S:1:pos:R:3 pbc="T T T"
Pm 0.000 0.000 0.000
Pa 3.562 3.562 3.562
Re 5.343 5.343 5.343
Ag 1.781 1.781 1.781
```

The 12 most intense peaks (10 to 90 degrees two-theta), in order of rising 2θ:
- 4.113 Å, 21.61°, I 6
- 3.562 Å, 25.00°, I 2
- 2.519 Å, 35.65°, I 100
- 2.148 Å, 42.07°, I 3
- 1.781 Å, 51.30°, I 18
- 1.634 Å, 56.29°, I 2
- 1.593 Å, 57.89°, I 1
- 1.454 Å, 64.03°, I 37
- 1.371 Å, 68.43°, I 1
- 1.259 Å, 75.49°, I 11
- 1.204 Å, 79.62°, I 1
- 1.126 Å, 86.38°, I 17

***

[7]
Pm2PaAgS6: simulated X-ray powder pattern (λ = 1.5418 Å (Cu Kα)), based on DFT lattice parameters and positions (GGA-PBE).

Crystal structure
```
10
Lattice="6.403 0.000 0.000 0.000 6.403 0.000 0.000 0.000 6.664" Properties=species:S:1:pos:R:3 pbc="T T T"
Pm 0.000 3.202 0.000
Pm 3.202 0.000 0.000
Pa 0.000 0.000 3.985
Ag 3.202 3.202 3.411
S 0.000 0.000 1.300
S 1.642 1.642 5.028
S 1.642 4.761 5.028
S 3.202 3.202 1.019
S 4.761 1.642 5.028
S 4.761 4.761 5.028
```

The 12 most intense peaks (10 to 90 degrees two-theta), in order of rising 2θ:
- 6.664 Å, 13.29°, I 15
- 4.617 Å, 19.22°, I 9
- 3.745 Å, 23.76°, I 100
- 3.332 Å, 26.75°, I 10
- 3.202 Å, 27.87°, I 34
- 2.684 Å, 33.39°, I 13
- 2.309 Å, 39.02°, I 36
- 2.264 Å, 39.82°, I 28
- 1.994 Å, 45.48°, I 12
- 1.937 Å, 46.90°, I 33
- 1.496 Å, 62.02°, I 10
- 1.315 Å, 71.75°, I 12

***

[8]
RbPa2AgSe8: simulated X-ray powder pattern (λ = 1.5418 Å (Cu Kα)), based on DFT lattice parameters and positions (GGA-PBE).

Crystal structure
```
12
Lattice="6.388 0.000 0.000 -3.194 5.532 0.000 0.000 0.000 9.545" Properties=species:S:1:pos:R:3 pbc="T T T"
Rb 0.000 0.000 0.000
Pa 0.000 3.688 3.734
Pa 3.194 1.844 5.811
Ag 0.000 0.000 4.773
Se 0.000 2.025 6.336
Se -1.440 4.520 6.336
Se 0.000 3.688 1.162
Se 1.754 1.012 3.209
Se 1.440 4.520 6.336
Se 3.194 1.844 8.383
Se 4.634 1.012 3.209
Se 3.194 3.507 3.209
```

The 12 most intense peaks (10 to 90 degrees two-theta), in order of rising 2θ:
- 4.786 Å, 18.54°, I 29
- 3.194 Å, 27.93°, I 56
- 2.760 Å, 32.44°, I 44
- 2.656 Å, 33.74°, I 100
- 2.393 Å, 37.58°, I 49
- 2.191 Å, 41.20°, I 27
- 2.088 Å, 43.34°, I 25
- 1.807 Å, 50.52°, I 22
- 1.747 Å, 52.36°, I 19
- 1.597 Å, 57.73°, I 25
- 1.572 Å, 58.74°, I 22
- 1.328 Å, 70.99°, I 14

***

[9]
Rb4Pa3AgTe8: simulated X-ray powder pattern (λ = 1.5418 Å (Cu Kα)), based on DFT lattice parameters and positions (GGA-PBE).

Crystal structure
```
16
Lattice="4.515 2.607 8.608 -4.515 2.607 8.608 0.000 -5.214 8.608" Properties=species:S:1:pos:R:3 pbc="T T T"
Rb 0.000 0.000 0.000
Rb -2.258 -1.303 8.608
Rb -2.258 1.303 17.217
Rb 0.000 2.607 8.608
Pa -4.515 0.000 12.912
Pa -2.258 1.303 4.304
Pa 2.258 1.303 4.304
Ag 0.000 0.000 12.912
Te -2.282 -1.318 14.625
Te 0.000 0.000 6.060
Te 0.000 -2.635 11.200
Te -2.282 1.318 11.200
Te 2.282 -1.318 14.625
Te 0.000 2.635 14.625
Te 0.000 0.000 19.765
Te 2.282 1.318 11.200
```

The 12 most intense peaks (10 to 90 degrees two-theta), in order of rising 2θ:
- 8.608 Å, 10.28°, I 37
- 3.345 Å, 26.65°, I 100
- 2.683 Å, 33.39°, I 16
- 2.489 Å, 36.08°, I 35
- 2.258 Å, 39.93°, I 37
- 2.184 Å, 41.35°, I 9
- 2.013 Å, 45.04°, I 11
- 1.871 Å, 48.66°, I 19
- 1.672 Å, 54.90°, I 11
- 1.558 Å, 59.32°, I 12
- 1.441 Å, 64.70°, I 16
- 1.344 Å, 70.02°, I 10

***

[10]
PaAgS3: simulated X-ray powder pattern (λ = 1.5418 Å (Cu Kα)), based on DFT lattice parameters and positions (GGA-PBE).

Crystal structure
```
10
Lattice="3.936 0.000 0.000 0.000 8.335 0.000 0.000 0.000 6.720" Properties=species:S:1:pos:R:3 pbc="T T T"
Pa 0.000 1.040 0.000
Pa 0.000 7.295 3.360
Ag 1.968 3.017 2.965
Ag 1.968 5.318 6.325
S 0.000 1.879 4.249
S 0.000 6.456 0.889
S 1.968 0.267 1.996
S 1.968 2.893 0.366
S 1.968 5.442 3.726
S 1.968 8.068 5.356
```

The 12 most intense peaks (10 to 90 degrees two-theta), in order of rising 2θ:
- 8.335 Å, 10.61°, I 46
- 3.559 Å, 25.02°, I 60
- 3.542 Å, 25.14°, I 100
- 3.360 Å, 26.53°, I 49
- 3.145 Å, 28.38°, I 74
- 2.633 Å, 34.05°, I 25
- 2.443 Å, 36.79°, I 58
- 2.270 Å, 39.71°, I 38
- 2.150 Å, 42.02°, I 33
- 1.973 Å, 46.00°, I 23
- 1.896 Å, 47.99°, I 23
- 1.720 Å, 53.25°, I 27

***

[11]
PaAg2S4: simulated X-ray powder pattern (λ = 1.5418 Å (Cu Kα)), based on DFT lattice parameters and positions (GGA-PBE).

Crystal structure
```
14
Lattice="-4.323 4.323 3.801 4.323 -4.323 3.801 4.323 4.323 -3.801" Properties=species:S:1:pos:R:3 pbc="T T T"
Pa 0.000 0.000 0.000
Pa 0.000 4.323 1.900
Ag 2.161 2.750 -0.950
Ag 5.896 2.161 0.950
Ag 2.161 1.573 2.851
Ag -1.573 2.161 4.751
S 6.027 -0.288 0.543
S 2.619 0.288 0.543
S 4.611 2.619 -1.358
S 4.034 -1.704 3.258
S -0.288 1.704 2.443
S 4.611 1.704 3.258
S 2.619 4.034 1.358
S 1.704 0.288 5.159
```

The 12 most intense peaks (10 to 90 degrees two-theta), in order of rising 2θ:
- 5.709 Å, 15.52°, I 62
- 3.446 Å, 25.85°, I 100
- 3.228 Å, 27.63°, I 94
- 3.057 Å, 29.22°, I 42
- 2.695 Å, 33.25°, I 91
- 2.432 Å, 36.97°, I 44
- 2.220 Å, 40.65°, I 79
- 2.161 Å, 41.79°, I 31
- 1.796 Å, 50.84°, I 21
- 1.741 Å, 52.58°, I 60
- 1.686 Å, 54.42°, I 45
- 1.615 Å, 57.01°, I 21

***

[12]
Pa4Ag3S12: simulated X-ray powder pattern (λ = 1.5418 Å (Cu Kα)), based on DFT lattice parameters and positions (GGA-PBE).

Crystal structure
```
19
Lattice="-4.963 4.963 4.963 4.963 -4.963 4.963 4.963 4.963 -4.963" Properties=species:S:1:pos:R:3 pbc="T T T"
Pa 2.482 2.482 -2.482
Pa 2.482 -2.482 2.482
Pa -2.482 2.482 2.482
Pa 2.482 2.482 2.482
Ag 4.963 0.000 0.000
Ag 0.000 4.963 0.000
Ag 0.000 0.000 4.963
S 4.963 -1.895 3.199
S 3.068 1.764 0.000
S 6.858 1.764 0.000
S 3.199 4.963 -1.895
S 1.764 0.000 3.068
S 0.000 3.068 1.764
S 4.963 1.895 3.199
S 3.199 4.963 1.895
S 1.764 0.000 6.858
S -1.895 3.199 4.963
S 1.895 3.199 4.963
S 0.000 6.858 1.764
```

The 12 most intense peaks (10 to 90 degrees two-theta), in order of rising 2θ:
- 7.019 Å, 12.61°, I 6
- 4.963 Å, 17.87°, I 34
- 3.509 Å, 25.38°, I 100
- 2.482 Å, 36.20°, I 29
- 2.220 Å, 40.65°, I 20
- 2.026 Å, 44.73°, I 62
- 1.755 Å, 52.12°, I 17
- 1.654 Å, 55.55°, I 7
- 1.569 Å, 58.84°, I 23
- 1.326 Å, 71.07°, I 25
- 1.170 Å, 82.45°, I 20
- 1.110 Å, 88.00°, I 7